Starting from a GGA-PBE-relaxed structure, the PXRD pattern of YGeI5 was calculated for Cu Kα (λ = 1.5418 Å).

Largest 10 diffraction maxima, by intensity, 2θ = 5–70°:
2theta, I/Imax, hkl
10.94, 100.0, 1 0 -1
25.93, 80.4, 1 1 2
29.45, 73.7, 0 0 5
27.84, 51.5, 2 0 3
41.18, 49.7, 0 2 0
32.04, 39.9, 1 1 -4
21.99, 39.7, 2 0 -2
28.10, 38.8, 1 1 -3
28.45, 37.0, 2 1 0
36.34, 34.1, 3 1 -1

Structural model:
a = 9.0222 Å, b = 4.3855 Å, c = 15.2457 Å
α = 90.00°, β = 95.66°, γ = 90.00°
Space group P2_1/m (No. 11)
Unique sites:
Y 0.1042 0.2500 0.1474
Ge 0.3862 0.7500 0.3869
I 0.1009 0.2500 0.7938
I 0.1567 0.2500 0.3709
I 0.1833 0.7500 0.0123
I 0.3657 0.7500 0.5698
I 0.4289 0.2500 0.1905

---

Starting from a GGA-PBE-relaxed structure, the PXRD pattern of Zn5GeI12 was calculated for Cu Kα (λ = 1.5418 Å).

Largest 10 diffraction maxima, by intensity, 2θ = 5–70°:
2theta, I/Imax, hkl
28.66, 100.0, 0 3 2
11.68, 70.6, 0 0 2
31.43, 46.0, 1 -2 3
23.49, 23.5, 0 0 4
26.72, 21.6, 1 1 1
26.59, 21.5, 0 3 -2
48.04, 21.0, -1 2 7
42.02, 18.9, 1 1 5
41.80, 18.7, 0 3 -6
43.81, 18.0, 1 4 -1

Structural model:
a = 4.1233 Å, b = 10.9374 Å, c = 15.3197 Å
α = 94.18°, β = 96.54°, γ = 100.84°
Space group P-1 (No. 2)
Unique sites:
Zn 0.0000 0.0000 0.0000
Zn 0.1681 0.3358 0.5000
Zn 0.3333 0.6666 0.0001
Ge 0.5000 0.0000 0.5000
I 0.0047 0.1066 0.3852
I 0.1643 0.2371 0.1068
I 0.1692 0.4296 0.8932
I 0.3287 0.7534 0.3894
I 0.3305 0.5691 0.6070
I 0.4976 0.9038 0.1069

---

Starting from a GGA-PBE-relaxed structure, the PXRD pattern of In3Ge was calculated for Cu Kα (λ = 1.5418 Å).

Largest 10 diffraction maxima, by intensity, 2θ = 5–70°:
2theta, I/Imax, hkl
32.03, 100.0, 0 1 2
38.50, 74.0, 1 1 1
29.20, 57.5, 1 0 1
41.49, 34.6, 1 0 3
66.33, 23.2, 2 1 2
41.21, 20.5, 0 0 4
65.73, 17.0, 1 1 5
48.80, 16.2, 1 1 3
67.19, 15.8, 1 2 3
59.23, 14.8, 1 2 1

Structural model:
a = 3.2640 Å, b = 3.6273 Å, c = 8.7619 Å
α = 90.00°, β = 90.00°, γ = 90.00°
Space group Pmm2 (No. 25)
Unique sites:
In 0.0000 0.0000 0.0000
In 0.0000 0.5000 0.2912
In 0.5000 0.5000 0.7504
Ge 0.5000 0.0000 0.4896

---

Starting from a GGA-PBE-relaxed structure, the PXRD pattern of InGe was calculated for Cu Kα (λ = 1.5418 Å).

Largest 10 diffraction maxima, by intensity, 2θ = 5–70°:
2theta, I/Imax, hkl
30.26, 100.0, 2 2 0
32.06, 67.7, 0 0 2
44.66, 67.5, 2 2 2
36.04, 43.0, 3 0 1
33.93, 37.5, 3 1 0
62.09, 29.8, 5 2 1
28.75, 29.7, 1 2 1
47.38, 28.9, 3 1 2
43.32, 20.9, 4 0 0
54.90, 20.4, 4 0 2

Structural model:
a = 8.3549 Å, b = 8.3549 Å, c = 5.5830 Å
α = 90.00°, β = 90.00°, γ = 90.00°
Space group I4/m (No. 87)
Unique sites:
In 0.0269 0.7163 0.0000
Ge 0.0545 0.7858 0.5000